[1]
Simulated powder XRD pattern of AcCeReN4 for Cu Kα (weighted mean of Kα1 and Kα2), from a DFT-relaxed cell (PBE, Alexandria).
Kinematic intensities with the Lorentz-polarization factor, no thermal factor.

Structure:
```
data_AcCeReN4
_symmetry_space_group_name_H-M 'C m c m'
_symmetry_Int_Tables_number 63
_symmetry_space_group_name_Hall '-C 2c 2'
_cell_length_a 5.523
_cell_length_b 13.053
_cell_length_c 5.578
_cell_angle_alpha 90.00
_cell_angle_beta 90.00
_cell_angle_gamma 90.00
loop_
_atom_site_label
_atom_site_fract_x
_atom_site_fract_y
_atom_site_fract_z
Ac1 0.000 0.103 0.250
Ce1 0.000 0.399 0.250
Re1 0.000 0.243 0.750
N1 0.000 0.088 0.750
N2 0.000 0.433 0.750
N3 0.250 0.250 0.000
```

Largest 10 diffraction maxima, in order of rising 2θ, 2θ = 10–80°:
- 30.68 deg, I = 100
- 32.09 deg, I = 27
- 32.42 deg, I = 27
- 41.52 deg, I = 20
- 46.26 deg, I = 24
- 53.41 deg, I = 9
- 56.33 deg, I = 22
- 56.75 deg, I = 19
- 63.88 deg, I = 12
- 75.95 deg, I = 9

***

[2]
Simulated powder XRD pattern of BaMgNiP for Cu Kα (weighted mean of Kα1 and Kα2), from a DFT-relaxed cell (PBE, Alexandria).
Kinematic intensities with the Lorentz-polarization factor, no thermal factor.

Structure:
```
data_BaMgNiP
_symmetry_space_group_name_H-M 'P 4/n m m'
_symmetry_Int_Tables_number 129
_cell_length_a 4.068
_cell_length_b 4.068
_cell_length_c 12.344
_cell_angle_alpha 90.00
_cell_angle_beta 90.00
_cell_angle_gamma 90.00
loop_
_symmetry_equiv_pos_as_xyz
'x,y,z'
'-x,-y,-z'
'-y+1/2,x,z'
'y+1/2,-x,-z'
'-x+1/2,-y+1/2,z'
'x+1/2,y+1/2,-z'
'y,-x+1/2,z'
'-y,x+1/2,-z'
'x+1/2,-y,-z'
'-x+1/2,y,z'
'-y,-x,-z'
'y,x,z'
'-x,y+1/2,-z'
'x,-y+1/2,z'
'y+1/2,x+1/2,-z'
'-y+1/2,-x+1/2,z'
loop_
_atom_site_label
_atom_site_fract_x
_atom_site_fract_y
_atom_site_fract_z
Ba1 0.250 0.250 0.216
Mg1 0.250 0.750 0.500
Ni1 0.250 0.750 0.000
P1 0.250 0.250 0.914
```

Largest 10 diffraction maxima, in order of rising 2θ, 2θ = 10–80°:
- 23.02 deg, I = 91
- 28.93 deg, I = 27
- 30.91 deg, I = 65
- 34.39 deg, I = 100
- 36.55 deg, I = 34
- 38.17 deg, I = 28
- 44.54 deg, I = 39
- 50.72 deg, I = 22
- 55.20 deg, I = 24
- 75.48 deg, I = 19